This entry pairs a crystal structure of Ba8Au3N with its simulated X-ray powder pattern. Radiation: copper Kα. Structure: a GGA-PBE-relaxed structure.

Principal peaks in the range 10° ≤ 2θ ≤ 90°, most intense first:
| two_theta | I/Imax | h k l |
| --- | --- | --- |
| 27.3 | 100 | 2 0 2 |
| 38.8 | 87 | 0 0 4 |
| 15.1 | 52 | 1 1 1 |
| 27.1 | 50 | 0 4 0 |
| 11.7 | 40 | 1 1 0 |
| 24.4 | 27 | 1 3 1 |
| 63.5 | 19 | 2 0 6 |
| 36.8 | 17 | 1 3 3 |
| 39.1 | 17 | 4 0 0 |
| 48.0 | 17 | 0 4 4 |

Structure:
Unit cell a=9.212 b=13.177 c=9.280 alpha=90.00 beta=90.00 gamma=90.00
Space group C222 (No. 21)
One atom of each set of equivalent atoms:
Ba1 0.000 0.216 0.000 [4 per cell]
Ba2 0.000 0.249 0.500 [4 per cell]
Ba3 0.218 0.000 0.218 [8 per cell]
Au1 0.000 0.000 0.500 [2 per cell]
Au2 0.250 0.250 0.246 [4 per cell]
N1 0.000 0.000 0.000 [2 per cell]

This entry pairs a crystal structure of Ba8AuN2 with its simulated X-ray powder pattern. Radiation: copper Kα. Structure: a GGA-PBE-relaxed structure.

Principal peaks in the range 10° ≤ 2θ ≤ 90°, most intense first:
| two_theta | I/Imax | h k l |
| --- | --- | --- |
| 23.9 | 100 | 2 2 -1 |
| 10.5 | 57 | 1 1 0 |
| 24.5 | 36 | 2 2 1 |
| 25.7 | 30 | 4 0 1 |
| 38.3 | 27 | 6 2 0 |
| 23.6 | 27 | 0 0 2 |
| 36.9 | 19 | 1 3 2 |
| 31.7 | 18 | 4 0 -2 |
| 32.4 | 18 | 2 2 2 |
| 33.8 | 17 | 3 3 -1 |

Structure:
Unit cell a=16.063 b=9.886 c=7.548 alpha=90.00 beta=93.20 gamma=90.00
Space group C2/m (No. 12)
One atom of each set of equivalent atoms:
Ba1 0.104 0.210 0.252 [8 per cell]
Ba2 0.163 0.000 0.806 [4 per cell]
Ba3 0.175 0.500 0.751 [4 per cell]
Au1 0.000 0.000 0.500 [2 per cell]
N1 0.176 0.000 0.144 [4 per cell]

This entry pairs a crystal structure of Ba6PtAu2N with its simulated X-ray powder pattern. Radiation: copper Kα. Structure: a GGA-PBE-relaxed structure.

Principal peaks in the range 10° ≤ 2θ ≤ 90°, most intense first:
| two_theta | I/Imax | h k l |
| --- | --- | --- |
| 26.6 | 100 | 2 1 -3 |
| 26.3 | 98 | 1 0 2 |
| 34.9 | 76 | 1 3 0 |
| 40.0 | 67 | 3 1 -1 |
| 25.4 | 63 | 1 2 -2 |
| 34.0 | 58 | 1 3 -1 |
| 28.4 | 56 | 1 1 -4 |
| 28.8 | 52 | 1 2 1 |
| 31.6 | 50 | 0 0 4 |
| 22.2 | 46 | 1 1 1 |

Structure:
Unit cell a=7.719 b=8.423 c=13.686 alpha=90.00 beta=124.25 gamma=90.00
Space group P2_1/c (No. 14)
One atom of each set of equivalent atoms:
Ba1 0.117 0.032 0.234 [4 per cell]
Ba2 0.229 0.703 0.059 [4 per cell]
Ba3 0.354 0.175 0.056 [4 per cell]
Pt1 0.500 0.000 0.500 [2 per cell]
Au1 0.291 0.094 0.750 [4 per cell]
N1 0.000 0.000 0.000 [2 per cell]

This entry pairs a crystal structure of Ba2Na3Au2 with its simulated X-ray powder pattern. Radiation: copper Kα. Structure: a GGA-PBE-relaxed structure.

Principal peaks in the range 10° ≤ 2θ ≤ 90°, most intense first:
| two_theta | I/Imax | h k l |
| --- | --- | --- |
| 12.4 | 100 | 0 0 2 |
| 27.6 | 73 | 1 1 -1 |
| 31.7 | 55 | 1 1 -3 |
| 39.7 | 40 | 1 1 4 |
| 18.7 | 28 | 0 0 3 |
| 31.4 | 21 | 0 0 5 |
| 29.0 | 15 | 1 1 1 |
| 38.5 | 13 | 2 0 -1 |
| 44.7 | 12 | 1 1 -6 |
| 39.9 | 12 | 0 2 0 |

Structure:
Unit cell a=4.680 b=4.523 c=14.456 alpha=90.00 beta=99.29 gamma=90.00
Space group P2/m (No. 10)
One atom of each set of equivalent atoms:
Ba1 0.110 0.000 0.210 [2 per cell]
Na1 0.292 0.500 0.588 [2 per cell]
Na2 0.500 0.500 0.000 [1 per cell]
Au1 0.391 0.500 0.792 [2 per cell]

This entry pairs a crystal structure of Ba7NaAu2 with its simulated X-ray powder pattern. Radiation: copper Kα. Structure: a GGA-PBE-relaxed structure.

Principal peaks in the range 10° ≤ 2θ ≤ 90°, most intense first:
| two_theta | I/Imax | h k l |
| --- | --- | --- |
| 14.0 | 100 | 0 0 1 |
| 10.6 | 65 | 0 2 0 |
| 28.2 | 60 | 0 0 2 |
| 28.0 | 49 | 1 5 0 |
| 26.9 | 44 | 2 4 0 |
| 29.4 | 39 | 3 3 0 |
| 40.2 | 37 | 1 5 2 |
| 25.1 | 34 | 3 1 0 |
| 39.4 | 33 | 2 4 2 |
| 41.2 | 33 | 3 3 2 |

Structure:
Unit cell a=10.886 b=16.691 c=6.319 alpha=90.00 beta=90.00 gamma=90.00
Space group Cmmm (No. 65)
One atom of each set of equivalent atoms:
Ba1 0.000 0.000 0.000 [2 per cell]
Ba2 0.000 0.202 0.500 [4 per cell]
Ba3 0.190 0.364 0.000 [8 per cell]
Na1 0.000 0.500 0.500 [2 per cell]
Au1 0.000 0.202 0.000 [4 per cell]

This entry pairs a crystal structure of Ba2NaAu3 with its simulated X-ray powder pattern. Radiation: copper Kα. Structure: a GGA-PBE-relaxed structure.

Principal peaks in the range 10° ≤ 2θ ≤ 90°, most intense first:
| two_theta | I/Imax | h k l |
| --- | --- | --- |
| 29.4 | 100 | 2 1 0 |
| 31.3 | 84 | 1 1 5 |
| 40.3 | 49 | 0 2 0 |
| 35.1 | 45 | 3 0 3 |
| 39.3 | 44 | 3 0 5 |
| 34.6 | 43 | 0 0 8 |
| 28.5 | 43 | 1 1 4 |
| 23.7 | 42 | 0 1 3 |
| 23.0 | 40 | 1 1 1 |
| 57.6 | 35 | 3 2 5 |

Structure:
Unit cell a=8.256 b=4.472 c=20.760 alpha=90.00 beta=90.00 gamma=90.00
Space group Pnma (No. 62)
One atom of each set of equivalent atoms:
Ba1 0.139 0.250 0.081 [4 per cell]
Ba2 0.166 0.250 0.297 [4 per cell]
Na1 0.031 0.750 0.440 [4 per cell]
Au1 0.013 0.250 0.809 [4 per cell]
Au2 0.161 0.250 0.683 [4 per cell]
Au3 0.243 0.750 0.965 [4 per cell]

This entry pairs a crystal structure of BaNa2Au4 with its simulated X-ray powder pattern. Radiation: copper Kα. Structure: a GGA-PBE-relaxed structure.

Principal peaks in the range 10° ≤ 2θ ≤ 90°, most intense first:
| two_theta | I/Imax | h k l |
| --- | --- | --- |
| 30.1 | 100 | 1 1 2 |
| 37.9 | 87 | 0 1 7 |
| 22.2 | 73 | 1 0 1 |
| 40.5 | 56 | 1 1 6 |
| 37.3 | 49 | 0 2 0 |
| 59.7 | 47 | 2 1 7 |
| 25.9 | 41 | 1 0 3 |
| 32.1 | 33 | 1 0 5 |
| 44.3 | 30 | 2 0 0 |
| 34.3 | 30 | 1 1 4 |

Structure:
Unit cell a=4.090 b=4.827 c=19.107 alpha=90.00 beta=90.00 gamma=90.00
Space group Immm (No. 71)
One atom of each set of equivalent atoms:
Ba1 0.000 0.000 0.000 [2 per cell]
Na1 0.000 0.500 0.192 [4 per cell]
Au1 0.000 0.000 0.426 [4 per cell]
Au2 0.000 0.500 0.351 [4 per cell]

This entry pairs a crystal structure of Ba11NaAu5 with its simulated X-ray powder pattern. Radiation: copper Kα. Structure: a GGA-PBE-relaxed structure.

Principal peaks in the range 10° ≤ 2θ ≤ 90°, most intense first:
| two_theta | I/Imax | h k l |
| --- | --- | --- |
| 12.7 | 100 | 1 1 -1 |
| 27.6 | 75 | 2 4 -1 |
| 25.4 | 73 | 0 2 2 |
| 27.4 | 62 | 3 3 -1 |
| 37.1 | 60 | 1 3 -3 |
| 28.0 | 48 | 4 0 -1 |
| 31.1 | 45 | 4 0 -2 |
| 26.5 | 41 | 1 1 2 |
| 18.5 | 40 | 1 3 0 |
| 27.1 | 38 | 2 4 0 |

Structure:
Unit cell a=12.795 b=15.668 c=8.244 alpha=90.00 beta=107.85 gamma=90.00
Space group C2/m (No. 12)
One atom of each set of equivalent atoms:
Ba1 0.000 0.000 0.000 [2 per cell]
Ba2 0.091 0.227 0.813 [8 per cell]
Ba3 0.167 0.500 0.876 [4 per cell]
Ba4 0.185 0.371 0.404 [8 per cell]
Na1 0.000 0.000 0.500 [2 per cell]
Au1 0.000 0.500 0.500 [2 per cell]
Au2 0.173 0.170 0.206 [8 per cell]